Computed XRD peak list
Compound: Ho3CdPd3
Radiation: Cu Kα, 1.54184 Å
Structure: DFT lattice parameters and positions (GGA-PBE)

Largest 8 diffraction maxima, low angle first, 2θ = 10–90°:
2theta, intensity, hkl
27.65, 19, 1 1 1
32.79, 33, 1 2 0
35.26, 36, 0 0 2
37.37, 100, 1 2 1
48.90, 28, 1 2 2
58.57, 25, 4 1 0
64.66, 19, 1 2 3
70.21, 13, 4 1 2

Atomic structure:
```
data_Ho3CdPd3
_cell_length_a 8.3429
_cell_length_b 8.3429
_cell_length_c 5.0915
_cell_angle_alpha 90.00
_cell_angle_beta 90.00
_cell_angle_gamma 120.00
_symmetry_space_group_name_H-M 'P 1'
_symmetry_Int_Tables_number 1
loop_
_symmetry_equiv_pos_as_xyz
'x,y,z'
loop_
_atom_site_label
_atom_site_type_symbol
_atom_site_fract_x
_atom_site_fract_y
_atom_site_fract_z
Ho1 Ho 0.0848 0.6709 0.2500
Ho2 Ho 0.3291 0.4138 0.2500
Ho3 Ho 0.4138 0.0848 0.7500
Ho4 Ho 0.5862 0.9152 0.2500
Ho5 Ho 0.6709 0.5862 0.7500
Ho6 Ho 0.9152 0.3291 0.7500
Cd1 Cd 0.3333 0.6667 0.7500
Cd2 Cd 0.6667 0.3333 0.2500
Pd1 Pd 0.0436 0.8217 0.7500
Pd2 Pd 0.1783 0.2219 0.7500
Pd3 Pd 0.2219 0.0436 0.2500
Pd4 Pd 0.7781 0.9564 0.7500
Pd5 Pd 0.8217 0.7781 0.2500
Pd6 Pd 0.9564 0.1783 0.2500
```